Record 1
Theoretical powder XRD pattern of Fe3CuAs2 for Cu Kα, 1.54184 Å, from a crystal structure in the Materials Project, relaxed with GGA-PBE.
Lines closer than 0.1° are merged.

Structural model:
Cell lengths 3.656, 3.656, 5.984 Å; angles 90.00, 90.00, 90.00 degrees
Space group P-4m2 (No. 115)
Symmetry-distinct sites (fractional):
Fe  0.000  0.000  0.000 x1
Fe  0.000  0.500  0.682 x2
Cu  0.500  0.500  0.000 x1
As  0.000  0.500  0.284 x2

Peak list (10 most intense, 10 to 90 degrees two-theta, low angle first)
- 14.80°, I 9, hkl 0 0 1
- 34.70°, I 20, hkl 1 1 0
- 37.92°, I 67, hkl 1 1 1
- 45.47°, I 25, hkl 0 0 3
- 46.42°, I 100, hkl 1 1 2
- 49.89°, I 53, hkl 2 0 0
- 69.79°, I 25, hkl 2 0 3
- 73.24°, I 16, hkl 2 2 0
- 83.50°, I 6, hkl 2 0 4
- 85.56°, I 11, hkl 3 1 1

Record 2
Theoretical powder XRD pattern of GdCuAs2 for Cu Kα, 1.54184 Å, from a crystal structure in the Materials Project, relaxed with GGA-PBE.
Lines closer than 0.1° are merged.

Structural model:
Cell lengths 3.928, 3.928, 9.924 Å; angles 90.00, 90.00, 90.00 degrees
Space group P4/nmm (No. 129, origin choice 2)
Symmetry-distinct sites (fractional):
Gd  0.250  0.250  0.238 x2
Cu  0.250  0.750  0.500 x2
As  0.250  0.250  0.658 x2
As  0.250  0.750  0.000 x2

Peak list (10 most intense, 10 to 90 degrees two-theta, low angle first)
- 24.37°, I 22, hkl 1 0 1
- 28.99°, I 16, hkl 1 0 2
- 35.48°, I 28, hkl 1 0 3
- 36.21°, I 14, hkl 0 0 4
- 37.10°, I 100, hkl 1 1 2
- 46.23°, I 35, hkl 2 0 0
- 51.60°, I 17, hkl 1 0 5
- 60.09°, I 13, hkl 2 0 4
- 71.76°, I 13, hkl 2 1 5
- 79.56°, I 21, hkl 3 1 2

Record 3
Theoretical powder XRD pattern of TiCuGeAs for Cu Kα, 1.54184 Å, from a crystal structure in the Materials Project, relaxed with GGA-PBE.
Lines closer than 0.1° are merged.

Structural model:
Cell lengths 3.646, 3.646, 9.261 Å; angles 90.00, 90.00, 90.00 degrees
Space group P4/nmm (No. 129, origin choice 2)
Symmetry-distinct sites (fractional):
Ti  0.250  0.250  0.224 x2
Cu  0.250  0.750  0.500 x2
Ge  0.250  0.750  0.000 x2
As  0.250  0.250  0.688 x2

Peak list (10 most intense, 10 to 90 degrees two-theta, low angle first)
- 31.22°, I 16, hkl 1 0 2
- 38.90°, I 15, hkl 0 0 4
- 40.03°, I 100, hkl 1 1 2
- 46.46°, I 12, hkl 1 0 4
- 50.03°, I 31, hkl 2 0 0
- 53.17°, I 8, hkl 1 1 4
- 65.13°, I 12, hkl 2 0 4
- 70.66°, I 7, hkl 2 1 4
- 73.46°, I 9, hkl 2 2 0
- 87.11°, I 19, hkl 3 1 2

Copy entry 2 word for word.
Theoretical powder XRD pattern of GdCuAs2 for Cu Kα, 1.54184 Å, from a crystal structure in the Materials Project, relaxed with GGA-PBE.
Lines closer than 0.1° are merged.

Structural model:
Cell lengths 3.928, 3.928, 9.924 Å; angles 90.00, 90.00, 90.00 degrees
Space group P4/nmm (No. 129, origin choice 2)
Symmetry-distinct sites (fractional):
Gd  0.250  0.250  0.238 x2
Cu  0.250  0.750  0.500 x2
As  0.250  0.250  0.658 x2
As  0.250  0.750  0.000 x2

Peak list (10 most intense, 10 to 90 degrees two-theta, low angle first)
- 24.37°, I 22, hkl 1 0 1
- 28.99°, I 16, hkl 1 0 2
- 35.48°, I 28, hkl 1 0 3
- 36.21°, I 14, hkl 0 0 4
- 37.10°, I 100, hkl 1 1 2
- 46.23°, I 35, hkl 2 0 0
- 51.60°, I 17, hkl 1 0 5
- 60.09°, I 13, hkl 2 0 4
- 71.76°, I 13, hkl 2 1 5
- 79.56°, I 21, hkl 3 1 2

Copy entry 1 word for word.
Theoretical powder XRD pattern of Fe3CuAs2 for Cu Kα, 1.54184 Å, from a crystal structure in the Materials Project, relaxed with GGA-PBE.
Lines closer than 0.1° are merged.

Structural model:
Cell lengths 3.656, 3.656, 5.984 Å; angles 90.00, 90.00, 90.00 degrees
Space group P-4m2 (No. 115)
Symmetry-distinct sites (fractional):
Fe  0.000  0.000  0.000 x1
Fe  0.000  0.500  0.682 x2
Cu  0.500  0.500  0.000 x1
As  0.000  0.500  0.284 x2

Peak list (10 most intense, 10 to 90 degrees two-theta, low angle first)
- 14.80°, I 9, hkl 0 0 1
- 34.70°, I 20, hkl 1 1 0
- 37.92°, I 67, hkl 1 1 1
- 45.47°, I 25, hkl 0 0 3
- 46.42°, I 100, hkl 1 1 2
- 49.89°, I 53, hkl 2 0 0
- 69.79°, I 25, hkl 2 0 3
- 73.24°, I 16, hkl 2 2 0
- 83.50°, I 6, hkl 2 0 4
- 85.56°, I 11, hkl 3 1 1